[1]
This entry pairs a crystal structure of CsAl3Si3O12 with its theoretical X-ray diffraction stick pattern. Radiation: Cu Kα. Structure: the PBE geometry in Alexandria.

Cell and atoms:
```
data_CsAl3Si3O12
_chemical_formula_sum 'Cs2 Al6 Si6 O24'
_cell_length_a 5.3302
_cell_length_b 5.3302
_cell_length_c 22.3594
_cell_angle_alpha 97.88
_cell_angle_beta 97.88
_cell_angle_gamma 60.04
_space_group_name_H-M_alt 'P 1'
_space_group_IT_number 1
loop_
_space_group_symop_operation_xyz
'x,y,z'
loop_
_atom_site_label
_atom_site_fract_x
_atom_site_fract_y
_atom_site_fract_z
_atom_site_occupancy
Cs1 0.1121 0.8879 0.5000 1
Cs2 0.8879 0.1121 0.0000 1
Al1 0.1727 0.6270 0.7365 1
Al2 0.2736 0.4679 0.1144 1
Al3 0.3676 0.7979 0.2370 1
Al4 0.4679 0.2736 0.6144 1
Al5 0.6270 0.1727 0.2365 1
Al6 0.7979 0.3676 0.7370 1
Si1 0.1672 0.3984 0.8624 1
Si2 0.3984 0.1672 0.3624 1
Si3 0.5131 0.7098 0.8627 1
Si4 0.5845 0.8125 0.1117 1
Si5 0.7098 0.5131 0.3627 1
Si6 0.8125 0.5845 0.6117 1
O1 0.0086 0.9305 0.2716 1
O2 0.0620 0.3610 0.3825 1
O3 0.0663 0.9882 0.7114 1
O4 0.1034 0.4268 0.7899 1
O5 0.1140 0.4819 0.5817 1
O6 0.3411 0.5764 0.8929 1
O7 0.3610 0.0620 0.8825 1
O8 0.3628 0.6930 0.0828 1
O9 0.3822 0.4747 0.1924 1
O10 0.4268 0.1034 0.2899 1
O11 0.4747 0.3822 0.6924 1
O12 0.4819 0.1140 0.0817 1
O13 0.5133 0.6212 0.7907 1
O14 0.5559 0.8528 0.3937 1
O15 0.5648 0.8830 0.1872 1
O16 0.5729 0.9098 0.5948 1
O17 0.5764 0.3411 0.3929 1
O18 0.6212 0.5133 0.2907 1
O19 0.6930 0.3628 0.5828 1
O20 0.8528 0.5559 0.8937 1
O21 0.8830 0.5648 0.6872 1
O22 0.9098 0.5729 0.0948 1
O23 0.9305 0.0086 0.7716 1
O24 0.9882 0.0663 0.2114 1
```

Principal peaks in the range 2θ = 10–90°, sorted by position:
2θ = 21.9°, I = 74; 2θ = 23.3°, I = 100; 2θ = 24.2°, I = 83; 2θ = 26.2°, I = 64; 2θ = 27.3°, I = 59; 2θ = 33.8°, I = 79

---

[2]
This entry pairs a crystal structure of K3Tl2AgBr6 with its theoretical X-ray diffraction stick pattern. Radiation: Cu Kα. Structure: the PBE geometry in Alexandria.

Cell and atoms:
```
data_K3Tl2AgBr6
_chemical_formula_sum 'K3 Tl2 Ag1 Br6'
_cell_length_a 8.1773
_cell_length_b 8.1773
_cell_length_c 7.9407
_cell_angle_alpha 99.45
_cell_angle_beta 99.45
_cell_angle_gamma 120.33
_space_group_name_H-M_alt 'P 1'
_space_group_IT_number 1
loop_
_space_group_symop_operation_xyz
'x,y,z'
loop_
_atom_site_label
_atom_site_fract_x
_atom_site_fract_y
_atom_site_fract_z
_atom_site_occupancy
K1 0.0000 0.0000 0.0000 1
K2 0.3322 0.6678 0.0000 1
K3 0.6678 0.3322 0.0000 1
Tl1 0.1713 0.8287 0.5000 1
Tl2 0.8287 0.1713 0.5000 1
Ag1 0.5000 0.5000 0.5000 1
Br1 0.0897 0.4119 0.2456 1
Br2 0.2946 0.2946 0.7105 1
Br3 0.4119 0.0897 0.2456 1
Br4 0.5881 0.9103 0.7544 1
Br5 0.7054 0.7054 0.2895 1
Br6 0.9103 0.5881 0.7544 1
```

Principal peaks in the range 2θ = 10–90°, sorted by position:
2θ = 11.8°, I = 43; 2θ = 22.1°, I = 23; 2θ = 26.9°, I = 100; 2θ = 27.2°, I = 41; 2θ = 38.3°, I = 34; 2θ = 39.0°, I = 31

---

What is the formula in the second record? K3Tl2AgBr6

---

Please write out number 1 again, unchanged.
This entry pairs a crystal structure of CsAl3Si3O12 with its theoretical X-ray diffraction stick pattern. Radiation: Cu Kα. Structure: the PBE geometry in Alexandria.

Cell and atoms:
```
data_CsAl3Si3O12
_chemical_formula_sum 'Cs2 Al6 Si6 O24'
_cell_length_a 5.3302
_cell_length_b 5.3302
_cell_length_c 22.3594
_cell_angle_alpha 97.88
_cell_angle_beta 97.88
_cell_angle_gamma 60.04
_space_group_name_H-M_alt 'P 1'
_space_group_IT_number 1
loop_
_space_group_symop_operation_xyz
'x,y,z'
loop_
_atom_site_label
_atom_site_fract_x
_atom_site_fract_y
_atom_site_fract_z
_atom_site_occupancy
Cs1 0.1121 0.8879 0.5000 1
Cs2 0.8879 0.1121 0.0000 1
Al1 0.1727 0.6270 0.7365 1
Al2 0.2736 0.4679 0.1144 1
Al3 0.3676 0.7979 0.2370 1
Al4 0.4679 0.2736 0.6144 1
Al5 0.6270 0.1727 0.2365 1
Al6 0.7979 0.3676 0.7370 1
Si1 0.1672 0.3984 0.8624 1
Si2 0.3984 0.1672 0.3624 1
Si3 0.5131 0.7098 0.8627 1
Si4 0.5845 0.8125 0.1117 1
Si5 0.7098 0.5131 0.3627 1
Si6 0.8125 0.5845 0.6117 1
O1 0.0086 0.9305 0.2716 1
O2 0.0620 0.3610 0.3825 1
O3 0.0663 0.9882 0.7114 1
O4 0.1034 0.4268 0.7899 1
O5 0.1140 0.4819 0.5817 1
O6 0.3411 0.5764 0.8929 1
O7 0.3610 0.0620 0.8825 1
O8 0.3628 0.6930 0.0828 1
O9 0.3822 0.4747 0.1924 1
O10 0.4268 0.1034 0.2899 1
O11 0.4747 0.3822 0.6924 1
O12 0.4819 0.1140 0.0817 1
O13 0.5133 0.6212 0.7907 1
O14 0.5559 0.8528 0.3937 1
O15 0.5648 0.8830 0.1872 1
O16 0.5729 0.9098 0.5948 1
O17 0.5764 0.3411 0.3929 1
O18 0.6212 0.5133 0.2907 1
O19 0.6930 0.3628 0.5828 1
O20 0.8528 0.5559 0.8937 1
O21 0.8830 0.5648 0.6872 1
O22 0.9098 0.5729 0.0948 1
O23 0.9305 0.0086 0.7716 1
O24 0.9882 0.0663 0.2114 1
```

Principal peaks in the range 2θ = 10–90°, sorted by position:
2θ = 21.9°, I = 74; 2θ = 23.3°, I = 100; 2θ = 24.2°, I = 83; 2θ = 26.2°, I = 64; 2θ = 27.3°, I = 59; 2θ = 33.8°, I = 79